Starting from a crystal structure in the Materials Project, relaxed with GGA-PBE, the PXRD pattern of K2HgS2 was computed for Cu Ka.

Structural model:
```
data_K2HgS2
_chemical_formula_sum 'K8 Hg4 S8'
_cell_length_a 10.8392
_cell_length_b 8.1226
_cell_length_c 7.4313
_cell_angle_alpha 90.00
_cell_angle_beta 90.00
_cell_angle_gamma 90.00
_space_group_name_H-M_alt 'P b c m'
_space_group_IT_number 57
loop_
_space_group_symop_operation_xyz
'x,y,z'
'-x,-y,-z'
'-x,-y,z+1/2'
'x,y,-z+1/2'
'x,-y+1/2,-z'
'-x,y+1/2,z'
'-x,y+1/2,-z+1/2'
'x,-y+1/2,z+1/2'
loop_
_atom_site_label
_atom_site_type_symbol
_atom_site_fract_x
_atom_site_fract_y
_atom_site_fract_z
_atom_site_occupancy
K1 K 0.1038 0.2500 0.0000 1
K2 K 0.3880 0.0492 0.2500 1
Hg1 Hg 0.2152 0.6637 0.2500 1
S1 S 0.1072 0.5853 0.7500 1
S2 S 0.3354 0.0769 0.7500 1
```

Principal peaks in the range 2θ = 15–90°, sorted by position:
(hkl)	2θ (°)	intensity
2 0 0	16.36	76
1 1 1	18.13	55
0 0 2	23.95	79
1 1 2	27.65	100
3 1 1	29.61	51
2 2 1	30.01	55
2 1 2	31.19	54
1 3 1	36.27	64